Entry 1:
Theoretical X-ray diffraction stick pattern
Compound: BeCdPt3
Radiation: copper Kα
Structure: the PBE geometry in Alexandria

Main lines, in order of falling intensity (15° ≤ 2θ ≤ 90°):
two_theta, I/Imax
40.94, 100
39.86, 89
37.98, 56
36.02, 55
40.04, 51
37.22, 33
33.94, 31
40.26, 29
79.32, 24
66.96, 24

Cell and atoms:
Unit cell a=7.1305 b=2.8575 c=7.5330 alpha=90.00 beta=103.73 gamma=90.00
Atoms (fractional coordinates):
1 Be 0.0988 0.0000 0.2308
2 Be 0.9012 0.5000 0.7692
3 Cd 0.4720 0.5009 0.8026
4 Cd 0.5280 0.0009 0.1974
5 Pt 0.1102 0.0009 0.6547
6 Pt 0.1842 0.5009 0.0078
7 Pt 0.3140 0.5011 0.4190
8 Pt 0.6860 0.0011 0.5810
9 Pt 0.8158 0.0009 0.9922
10 Pt 0.8898 0.5009 0.3453

Entry 2:
Theoretical X-ray diffraction stick pattern
Compound: BeCdPt3
Radiation: copper Kα
Structure: the PBE geometry in Alexandria

Main lines, in order of falling intensity (15° ≤ 2θ ≤ 90°):
two_theta, I/Imax
45.47, 100
41.58, 81
34.65, 71
31.72, 67
39.11, 65
22.28, 50
70.86, 41
89.93, 35
68.00, 33
58.40, 27

Cell and atoms:
Unit cell a=7.9794 b=7.9794 c=7.9794 alpha=60.00 beta=60.00 gamma=60.00
Atoms (fractional coordinates):
1 Be 0.0000 0.0000 0.0000
2 Be 0.0000 0.0000 0.5000
3 Be 0.0000 0.5000 0.0000
4 Be 0.5000 0.0000 0.0000
5 Cd 0.0000 0.5000 0.5000
6 Cd 0.5000 0.0000 0.5000
7 Cd 0.5000 0.5000 0.0000
8 Cd 0.5000 0.5000 0.5000
9 Pt 0.0841 0.0841 0.6659
10 Pt 0.0841 0.6659 0.0841
11 Pt 0.0841 0.6659 0.6659
12 Pt 0.3341 0.3341 0.9159
13 Pt 0.3341 0.9159 0.3341
14 Pt 0.3341 0.9159 0.9159
15 Pt 0.6659 0.0841 0.0841
16 Pt 0.6659 0.0841 0.6659
17 Pt 0.6659 0.6659 0.0841
18 Pt 0.9159 0.3341 0.3341
19 Pt 0.9159 0.3341 0.9159
20 Pt 0.9159 0.9159 0.3341

Entry 3:
Theoretical X-ray diffraction stick pattern
Compound: BeCdPt3
Radiation: copper Kα
Structure: the PBE geometry in Alexandria

Main lines, in order of falling intensity (15° ≤ 2θ ≤ 90°):
two_theta, I/Imax
40.07, 100
39.26, 64
44.47, 60
36.86, 52
37.59, 32
62.27, 32
25.24, 27
68.57, 22
33.72, 22
37.26, 19

Cell and atoms:
Unit cell a=7.5184 b=7.5184 c=7.2284 alpha=101.91 beta=101.91 gamma=22.06
Atoms (fractional coordinates):
1 Be 0.1973 0.1973 0.2885
2 Be 0.8027 0.8027 0.7115
3 Cd 0.0157 0.0157 0.7172
4 Cd 0.9843 0.9843 0.2828
5 Pt 0.2061 0.2061 0.8431
6 Pt 0.3557 0.3557 0.4968
7 Pt 0.4016 0.4016 0.9231
8 Pt 0.5984 0.5984 0.0769
9 Pt 0.6443 0.6443 0.5032
10 Pt 0.7939 0.7939 0.1569

Entry 4:
Theoretical X-ray diffraction stick pattern
Compound: BeCdPt3
Radiation: copper Kα
Structure: the PBE geometry in Alexandria

Main lines, in order of falling intensity (15° ≤ 2θ ≤ 90°):
two_theta, I/Imax
39.34, 100
36.14, 91
37.81, 58
45.96, 40
69.20, 36
42.54, 35
70.92, 32
75.76, 22
43.84, 20
33.33, 18

Cell and atoms:
Unit cell a=2.9096 b=7.4693 c=7.4693 alpha=67.14 beta=90.00 gamma=90.00
Atoms (fractional coordinates):
1 Be 0.0000 0.2216 0.7784
2 Be 0.0000 0.7784 0.2216
3 Cd 0.0000 0.2075 0.2075
4 Cd 0.0000 0.7931 0.7931
5 Pt 0.0000 0.4999 0.4999
6 Pt 0.5000 0.0005 0.0005
7 Pt 0.5000 0.1556 0.5630
8 Pt 0.5000 0.4375 0.8440
9 Pt 0.5000 0.5630 0.1556
10 Pt 0.5000 0.8440 0.4375

Entry 5:
Theoretical X-ray diffraction stick pattern
Compound: Y2BeCdPt6
Radiation: copper Kα
Structure: the PBE geometry in Alexandria

Main lines, in order of falling intensity (15° ≤ 2θ ≤ 90°):
two_theta, I/Imax
40.34, 100
38.16, 97
21.91, 70
19.86, 47
39.33, 37
48.25, 31
67.49, 29
41.91, 29
33.12, 28
41.59, 19

Cell and atoms:
Unit cell a=8.7241 b=8.7241 c=8.7241 alpha=37.10 beta=37.10 gamma=37.10
Atoms (fractional coordinates):
1 Y 0.1993 0.1993 0.1993
2 Y 0.8007 0.8007 0.8007
3 Be 0.5000 0.5000 0.5000
4 Cd 0.0000 0.0000 0.0000
5 Pt 0.2388 0.7374 0.7374
6 Pt 0.2626 0.2626 0.7612
7 Pt 0.2626 0.7612 0.2626
8 Pt 0.7374 0.2388 0.7374
9 Pt 0.7374 0.7374 0.2388
10 Pt 0.7612 0.2626 0.2626

Entry 6:
Theoretical X-ray diffraction stick pattern
Compound: BeCdS2
Radiation: copper Kα
Structure: the PBE geometry in Alexandria

Main lines, in order of falling intensity (15° ≤ 2θ ≤ 90°):
two_theta, I/Imax
17.78, 100
18.60, 62
29.19, 51
34.06, 46
36.61, 45
28.82, 36
38.97, 31
47.24, 25
51.29, 25
23.81, 20

Cell and atoms:
Unit cell a=6.4348 b=5.8720 c=7.5291 alpha=55.75 beta=48.97 gamma=75.28
Atoms (fractional coordinates):
1 Be 0.1419 0.8581 0.8581
2 Be 0.8581 0.1419 0.1419
3 Cd 0.3511 0.6442 0.3558
4 Cd 0.6442 0.3511 0.6489
5 S 0.0446 0.7748 0.2252
6 S 0.1620 0.5143 0.8380
7 S 0.5143 0.1620 0.4857
8 S 0.7748 0.0446 0.9554

Entry 7:
Theoretical X-ray diffraction stick pattern
Compound: BeCdS2
Radiation: copper Kα
Structure: the PBE geometry in Alexandria

Main lines, in order of falling intensity (15° ≤ 2θ ≤ 90°):
two_theta, I/Imax
19.38, 100
31.02, 61
27.45, 57
37.63, 55
23.99, 54
28.55, 53
52.14, 40
47.36, 40
38.90, 40
26.49, 33

Cell and atoms:
Unit cell a=3.7097 b=6.2523 c=6.7296 alpha=90.00 beta=90.05 gamma=90.00
Atoms (fractional coordinates):
1 Be 0.0005 0.0000 0.1537
2 Be 0.9995 0.5000 0.8463
3 Cd 0.4990 0.9936 0.6750
4 Cd 0.5010 0.4936 0.3250
5 S 0.9997 0.1615 0.8795
6 S 0.0003 0.6615 0.1205
7 S 0.4993 0.5868 0.6952
8 S 0.5007 0.0868 0.3048

Entry 8:
Theoretical X-ray diffraction stick pattern
Compound: BeCd3S4
Radiation: copper Kα
Structure: the PBE geometry in Alexandria

Main lines, in order of falling intensity (15° ≤ 2θ ≤ 90°):
two_theta, I/Imax
27.38, 100
45.56, 36
53.72, 27
45.27, 18
17.54, 15
54.23, 13
31.58, 13
36.35, 12
73.25, 11
83.82, 10

Cell and atoms:
Unit cell a=5.6657 b=5.6657 c=11.1950 alpha=90.00 beta=90.00 gamma=90.00
Atoms (fractional coordinates):
1 Be 0.0000 0.0000 0.0000
2 Be 0.5000 0.5000 0.5000
3 Cd 0.0000 0.0000 0.5000
4 Cd 0.0000 0.5000 0.2500
5 Cd 0.0000 0.5000 0.7500
6 Cd 0.5000 0.0000 0.2500
7 Cd 0.5000 0.0000 0.7500
8 Cd 0.5000 0.5000 0.0000
9 S 0.2172 0.2172 0.8892
10 S 0.2172 0.7828 0.1108
11 S 0.2828 0.2828 0.3892
12 S 0.2828 0.7172 0.6108
13 S 0.7172 0.2828 0.6108
14 S 0.7172 0.7172 0.3892
15 S 0.7828 0.2172 0.1108
16 S 0.7828 0.7828 0.8892

Entry 9:
Theoretical X-ray diffraction stick pattern
Compound: BeCd2Se
Radiation: copper Kα
Structure: the PBE geometry in Alexandria

Main lines, in order of falling intensity (15° ≤ 2θ ≤ 90°):
two_theta, I/Imax
33.76, 100
43.50, 45
53.11, 27
30.92, 27
23.00, 17
73.61, 16
64.43, 14
35.75, 13
88.17, 13
47.00, 11

Cell and atoms:
Unit cell a=3.4486 b=3.4486 c=23.1994 alpha=90.00 beta=90.00 gamma=120.00
Atoms (fractional coordinates):
1 Be 0.0000 0.0000 0.0000
2 Be 0.3333 0.6667 0.6667
3 Be 0.6667 0.3333 0.3333
4 Cd 0.0000 0.0000 0.2570
5 Cd 0.0000 0.0000 0.7430
6 Cd 0.3333 0.6667 0.4097
7 Cd 0.3333 0.6667 0.9237
8 Cd 0.6667 0.3333 0.0763
9 Cd 0.6667 0.3333 0.5903
10 Se 0.0000 0.0000 0.5000
11 Se 0.3333 0.6667 0.1667
12 Se 0.6667 0.3333 0.8333

Entry 10:
Theoretical X-ray diffraction stick pattern
Compound: Be2CdSe3
Radiation: copper Kα
Structure: the PBE geometry in Alexandria

Main lines, in order of falling intensity (15° ≤ 2θ ≤ 90°):
two_theta, I/Imax
28.09, 100
46.88, 39
55.04, 21
37.19, 20
29.51, 16
17.98, 13
56.05, 12
46.24, 10
46.38, 8
50.06, 7

Cell and atoms:
Unit cell a=12.9362 b=6.6926 c=12.3851 alpha=79.28 beta=30.55 gamma=70.17
Atoms (fractional coordinates):
1 Be 0.0000 0.0000 0.0000
2 Be 0.0880 0.4150 0.0823
3 Be 0.1677 0.8353 0.1620
4 Be 0.2500 0.2500 0.2500
5 Be 0.4150 0.0880 0.4147
6 Be 0.4986 0.4986 0.5014
7 Be 0.7486 0.7486 0.7514
8 Be 0.8353 0.1677 0.8350
9 Cd 0.3211 0.6766 0.3346
10 Cd 0.5823 0.9154 0.5734
11 Cd 0.6766 0.3211 0.6677
12 Cd 0.9154 0.5823 0.9289
13 Se 0.0007 0.7778 0.1634
14 Se 0.0866 0.1919 0.2493
15 Se 0.0920 0.6267 0.3801
16 Se 0.1919 0.0866 0.4722
17 Se 0.3297 0.4247 0.5195
18 Se 0.3487 0.8699 0.6233
19 Se 0.4247 0.3297 0.7260
20 Se 0.5240 0.7305 0.8253
21 Se 0.6267 0.0920 0.9013
22 Se 0.7305 0.5240 0.9203
23 Se 0.7778 0.0007 0.0581
24 Se 0.8699 0.3487 0.1580

Entry 11:
Theoretical X-ray diffraction stick pattern
Compound: Be2CdSi
Radiation: copper Kα
Structure: the PBE geometry in Alexandria

Main lines, in order of falling intensity (15° ≤ 2θ ≤ 90°):
two_theta, I/Imax
25.78, 100
15.25, 74
43.76, 73
39.74, 42
32.93, 41
30.77, 41
33.89, 35
46.43, 30
66.04, 18
63.86, 17

Cell and atoms:
Unit cell a=2.7978 b=3.6199 c=11.6216 alpha=90.00 beta=90.00 gamma=90.00
Atoms (fractional coordinates):
1 Be 0.0000 0.0000 0.0000
2 Be 0.0000 0.5000 0.1163
3 Be 0.5000 0.0000 0.6163
4 Be 0.5000 0.5000 0.5000
5 Cd 0.0000 0.5000 0.7333
6 Cd 0.5000 0.0000 0.2333
7 Si 0.0000 0.0000 0.4519
8 Si 0.5000 0.5000 0.9519

Entry 12:
Theoretical X-ray diffraction stick pattern
Compound: BeCdSn
Radiation: copper Kα
Structure: the PBE geometry in Alexandria

Main lines, in order of falling intensity (15° ≤ 2θ ≤ 90°):
two_theta, I/Imax
30.21, 100
30.33, 96
33.58, 50
33.70, 49
39.52, 40
41.18, 34
40.71, 33
44.70, 31
56.80, 22
61.17, 22

Cell and atoms:
Unit cell a=4.0550 b=4.5602 c=6.8477 alpha=89.79 beta=73.47 gamma=89.97
Atoms (fractional coordinates):
1 Be 0.0000 0.0000 0.0000
2 Be 0.9998 0.4951 0.0004
3 Cd 0.4124 0.7462 0.1840
4 Cd 0.8303 0.2456 0.3631
5 Sn 0.1852 0.7492 0.6333
6 Sn 0.5888 0.2488 0.8174

Entry 13:
Theoretical X-ray diffraction stick pattern
Compound: BeCdSn
Radiation: copper Kα
Structure: the PBE geometry in Alexandria

Main lines, in order of falling intensity (15° ≤ 2θ ≤ 90°):
two_theta, I/Imax
29.78, 100
36.31, 57
32.18, 38
34.49, 35
38.38, 29
62.80, 29
27.42, 24
47.71, 21
31.73, 18
39.76, 16

Cell and atoms:
Unit cell a=4.8807 b=3.8122 c=6.5295 alpha=90.00 beta=95.02 gamma=90.00
Atoms (fractional coordinates):
1 Be 0.0000 0.0000 0.0000
2 Be 0.2262 0.5000 0.0482
3 Cd 0.7623 0.5000 0.2243
4 Cd 0.9361 0.5000 0.6727
5 Sn 0.2987 0.0000 0.3599
6 Sn 0.4706 0.0000 0.8495

Entry 14:
Theoretical X-ray diffraction stick pattern
Compound: SrBe4Cd
Radiation: copper Kα
Structure: the PBE geometry in Alexandria

Main lines, in order of falling intensity (15° ≤ 2θ ≤ 90°):
two_theta, I/Imax
35.46, 100
21.49, 99
41.84, 74
63.66, 35
68.03, 22
55.97, 22
79.13, 16
85.83, 15
51.02, 14
75.04, 13

Cell and atoms:
Unit cell a=5.0634 b=5.0634 c=5.0634 alpha=60.00 beta=60.00 gamma=60.00
Atoms (fractional coordinates):
1 Sr 0.0000 0.0000 0.0000
2 Be 0.1221 0.6260 0.6260
3 Be 0.6260 0.1221 0.6260
4 Be 0.6260 0.6260 0.1221
5 Be 0.6260 0.6260 0.6260
6 Cd 0.2500 0.2500 0.2500